Computed powder X-ray diffraction pattern of NaGdTiO4 for Cu Ka, from a GGA-PBE-relaxed structure.

Main lines, by angle (2θ from 10° to 80°):
Position (°2θ)  I_rel
27.41  91
31.72  100
33.03  32
33.76  44
42.91  23
47.95  36
55.64  20
56.58  17
58.17  18
59.10  17

Cell and atoms:
a = 12.6541 Å, b = 5.4233 Å, c = 5.3110 Å
α = 90.00°, β = 90.00°, γ = 90.00°
Element x y z (fractional)
Na: 0.0863 0.0083 0.2500
Na: 0.0863 0.4917 0.7500
Na: 0.9137 0.5083 0.2500
Na: 0.9137 0.9917 0.7500
Gd: 0.3934 0.0225 0.2500
Gd: 0.3934 0.4775 0.7500
Gd: 0.6066 0.5225 0.2500
Gd: 0.6066 0.9775 0.7500
Ti: 0.2348 0.5082 0.2500
Ti: 0.2348 0.9918 0.7500
Ti: 0.7652 0.0082 0.2500
Ti: 0.7652 0.4918 0.7500
O: 0.0966 0.5416 0.2500
O: 0.0966 0.9584 0.7500
O: 0.2564 0.2500 0.0000
O: 0.2564 0.2500 0.5000
O: 0.2845 0.7500 0.0000
O: 0.2845 0.7500 0.5000
O: 0.4348 0.0649 0.7500
O: 0.4348 0.4351 0.2500
O: 0.5652 0.5649 0.7500
O: 0.5652 0.9351 0.2500
O: 0.7155 0.2500 0.0000
O: 0.7155 0.2500 0.5000
O: 0.7436 0.7500 0.0000
O: 0.7436 0.7500 0.5000
O: 0.9034 0.0416 0.2500
O: 0.9034 0.4584 0.7500